Entry 1:
The following is a computed powder XRD pattern of CaSm6Y. It was derived from a crystal structure in Alexandria, relaxed with PBE, using Cu Ka.
Lines closer than 0.1° are merged.

Cell lengths 5.1477, 5.1477, 10.3276 Å; angles 90.00, 90.00, 90.00 degrees
Sites, in units of the cell vectors:
Ca 0.0000 0.0000 0.0000
Sm 0.0000 0.5000 0.2566
Sm 0.0000 0.5000 0.7434
Sm 0.5000 0.0000 0.2566
Sm 0.5000 0.0000 0.7434
Sm 0.5000 0.5000 0.0000
Sm 0.5000 0.5000 0.5000
Y 0.0000 0.0000 0.5000

Largest 10 diffraction maxima, low angle first, 5° ≤ 2θ ≤ 70°:
17.2°, intensity 7.1; 24.4°, intensity 6.4; 30.0°, intensity 100.0; 34.7°, intensity 16.8; 34.9°, intensity 33.8; 43.0°, intensity 2.9; 50.1°, intensity 35.8; 59.4°, intensity 13.9; 59.5°, intensity 28.4; 62.4°, intensity 12.2

---

Entry 2:
The following is a computed powder XRD pattern of Pr8Sb2Pt3. It was derived from a crystal structure in Alexandria, relaxed with PBE, using Cu Ka.
Lines closer than 0.1° are merged.

Cell lengths 9.1468, 9.1468, 7.2148 Å; angles 104.56, 104.56, 54.65 degrees
Sites, in units of the cell vectors:
Pr 0.0950 0.0950 0.3805
Pr 0.1450 0.6365 0.0980
Pr 0.3635 0.8550 0.9020
Pr 0.3983 0.3983 0.5948
Pr 0.6017 0.6017 0.4052
Pr 0.6365 0.1450 0.0980
Pr 0.8550 0.3635 0.9020
Pr 0.9050 0.9050 0.6195
Sb 0.2460 0.2460 0.1659
Sb 0.7540 0.7540 0.8341
Pt 0.2474 0.7526 0.5000
Pt 0.5000 0.5000 0.0000
Pt 0.7526 0.2474 0.5000

Largest 10 diffraction maxima, low angle first, 5° ≤ 2θ ≤ 70°:
11.4°, intensity 63.9; 25.8°, intensity 54.2; 31.1°, intensity 50.7; 31.3°, intensity 100.0; 36.4°, intensity 35.2; 43.1°, intensity 25.6; 43.4°, intensity 48.0; 46.0°, intensity 24.2; 46.6°, intensity 20.8; 54.1°, intensity 21.7